Entry 1:
The following is a theoretical XRD peak list of Ba3Hg2Bi2Sb2. It was derived from a structure optimized by DFT (GGA-PBE), using Cu Kα (λ = 1.5418 Å).

```
data_Ba3Hg2Bi2Sb2
_chemical_formula_sum 'Ba3 Hg2 Bi2 Sb2'
_cell_length_a 9.521
_cell_length_b 9.521
_cell_length_c 7.729
_cell_angle_alpha 111.75
_cell_angle_beta 111.75
_cell_angle_gamma 30.63
_space_group_name_H-M_alt 'P 1'
_space_group_IT_number 1
loop_
_space_group_symop_operation_xyz
'x,y,z'
loop_
_atom_site_label
_atom_site_fract_x
_atom_site_fract_y
_atom_site_fract_z
Ba1 0.000 0.000 0.000
Ba2 0.138 0.138 0.617
Ba3 0.862 0.862 0.383
Hg1 0.338 0.338 0.022
Hg2 0.662 0.662 0.978
Bi1 0.209 0.209 0.212
Bi2 0.791 0.791 0.788
Sb1 0.496 0.496 0.682
Sb2 0.504 0.504 0.318
```

Largest 10 diffraction maxima, sorted by position, 10 to 90 degrees two-theta:
- 2θ 12.40, d 7.136, I 26
- 2θ 23.75, d 3.747, I 20
- 2θ 25.73, d 3.463, I 20
- 2θ 29.18, d 3.061, I 30
- 2θ 29.55, d 3.023, I 100
- 2θ 29.81, d 2.998, I 58
- 2θ 31.66, d 2.826, I 22
- 2θ 35.71, d 2.515, I 43
- 2θ 39.00, d 2.309, I 33
- 2θ 60.41, d 1.532, I 19



Entry 2:
The following is a theoretical XRD peak list of GdYCd3Ni2. It was derived from a structure optimized by DFT (GGA-PBE), using Cu Kα (λ = 1.5418 Å).

```
data_GdYCd3Ni2
_chemical_formula_sum 'Gd1 Y1 Cd3 Ni2'
_cell_length_a 3.618
_cell_length_b 10.455
_cell_length_c 10.455
_cell_angle_alpha 21.72
_cell_angle_beta 90.00
_cell_angle_gamma 90.00
_space_group_name_H-M_alt 'P 1'
_space_group_IT_number 1
loop_
_space_group_symop_operation_xyz
'x,y,z'
loop_
_atom_site_label
_atom_site_fract_x
_atom_site_fract_y
_atom_site_fract_z
Gd1 0.000 0.000 0.000
Y1 0.000 0.650 0.650
Cd1 0.000 0.825 0.825
Cd2 0.500 0.245 0.245
Cd3 0.500 0.403 0.403
Ni1 0.500 0.111 0.111
Ni2 0.500 0.538 0.538
```

Largest 10 diffraction maxima, sorted by position, 10 to 90 degrees two-theta:
- 2θ 31.46, d 2.843, I 36
- 2θ 33.92, d 2.643, I 100
- 2θ 36.13, d 2.486, I 86
- 2θ 38.25, d 2.353, I 43
- 2θ 40.34, d 2.236, I 15
- 2θ 46.07, d 1.970, I 25
- 2θ 50.45, d 1.809, I 19
- 2θ 59.90, d 1.544, I 31
- 2θ 65.03, d 1.434, I 17
- 2θ 70.69, d 1.333, I 15



Entry 3:
The following is a theoretical XRD peak list of NpRePd. It was derived from a structure optimized by DFT (GGA-PBE), using Cu Kα (λ = 1.5418 Å).

```
data_NpRePd
_chemical_formula_sum 'Np1 Re1 Pd1'
_cell_length_a 4.420
_cell_length_b 4.420
_cell_length_c 4.420
_cell_angle_alpha 60.00
_cell_angle_beta 60.00
_cell_angle_gamma 60.00
_space_group_name_H-M_alt 'P 1'
_space_group_IT_number 1
loop_
_space_group_symop_operation_xyz
'x,y,z'
loop_
_atom_site_label
_atom_site_fract_x
_atom_site_fract_y
_atom_site_fract_z
Np1 0.000 0.000 0.000
Re1 0.500 0.500 0.500
Pd1 0.250 0.250 0.250
```

Largest 10 diffraction maxima, sorted by position, 10 to 90 degrees two-theta:
- 2θ 24.67, d 3.609, I 13
- 2θ 28.56, d 3.126, I 44
- 2θ 40.83, d 2.210, I 100
- 2θ 48.29, d 1.885, I 6
- 2θ 50.58, d 1.805, I 13
- 2θ 59.12, d 1.563, I 17
- 2θ 65.04, d 1.434, I 3
- 2θ 66.94, d 1.398, I 17
- 2θ 74.34, d 1.276, I 35
- 2θ 88.48, d 1.105, I 12



Entry 4:
The following is a theoretical XRD peak list of TbTmPbN. It was derived from a structure optimized by DFT (GGA-PBE), using Cu Kα (λ = 1.5418 Å).

```
data_TbTmPbN
_chemical_formula_sum 'Tb2 Tm2 Pb2 N2'
_cell_length_a 3.527
_cell_length_b 3.527
_cell_length_c 15.546
_cell_angle_alpha 90.00
_cell_angle_beta 90.00
_cell_angle_gamma 120.00
_space_group_name_H-M_alt 'P 1'
_space_group_IT_number 1
loop_
_space_group_symop_operation_xyz
'x,y,z'
loop_
_atom_site_label
_atom_site_fract_x
_atom_site_fract_y
_atom_site_fract_z
Tb1 0.000 0.000 0.169
Tb2 0.000 0.000 0.831
Tm1 0.333 0.667 0.335
Tm2 0.333 0.667 0.665
Pb1 0.000 0.000 0.500
Pb2 0.333 0.667 0.000
N1 0.667 0.333 0.257
N2 0.667 0.333 0.743
```

Largest 10 diffraction maxima, sorted by position, 10 to 90 degrees two-theta:
- 2θ 29.24, d 3.055, I 22
- 2θ 34.07, d 2.631, I 100
- 2θ 34.62, d 2.591, I 20
- 2θ 45.93, d 1.976, I 16
- 2θ 51.84, d 1.764, I 21
- 2θ 61.69, d 1.504, I 18
- 2θ 63.50, d 1.465, I 17
- 2θ 63.85, d 1.458, I 21
- 2θ 84.72, d 1.144, I 8
- 2θ 86.33, d 1.127, I 15



Entry 5:
The following is a theoretical XRD peak list of Rb2CuBiCl6. It was derived from a structure optimized by DFT (GGA-PBE), using Cu Kα (λ = 1.5418 Å).

```
data_Rb2CuBiCl6
_chemical_formula_sum 'Rb2 Cu1 Bi1 Cl6'
_cell_length_a 7.442
_cell_length_b 7.442
_cell_length_c 7.442
_cell_angle_alpha 122.06
_cell_angle_beta 122.06
_cell_angle_gamma 86.47
_space_group_name_H-M_alt 'P 1'
_space_group_IT_number 1
loop_
_space_group_symop_operation_xyz
'x,y,z'
loop_
_atom_site_label
_atom_site_fract_x
_atom_site_fract_y
_atom_site_fract_z
Rb1 0.250 0.750 0.500
Rb2 0.750 0.250 0.500
Cu1 0.000 0.000 0.000
Bi1 0.500 0.500 0.000
Cl1 0.183 0.712 0.895
Cl2 0.248 0.248 0.000
Cl3 0.288 0.183 0.471
Cl4 0.712 0.817 0.529
Cl5 0.752 0.752 0.000
Cl6 0.817 0.288 0.105
```

Largest 10 diffraction maxima, sorted by position, 10 to 90 degrees two-theta:
- 2θ 14.75, d 6.004, I 33
- 2θ 17.39, d 5.098, I 21
- 2θ 23.96, d 3.714, I 100
- 2θ 24.70, d 3.605, I 60
- 2θ 28.89, d 3.091, I 29
- 2θ 33.04, d 2.711, I 38
- 2θ 35.21, d 2.549, I 53
- 2θ 41.69, d 2.167, I 31
- 2θ 43.04, d 2.102, I 57
- 2θ 49.05, d 1.857, I 40



Entry 6:
The following is a theoretical XRD peak list of SmY2Si4Au4. It was derived from a structure optimized by DFT (GGA-PBE), using Cu Kα (λ = 1.5418 Å).

```
data_SmY2Si4Au4
_chemical_formula_sum 'Sm1 Y2 Si4 Au4'
_cell_length_a 12.922
_cell_length_b 12.922
_cell_length_c 12.922
_cell_angle_alpha 161.42
_cell_angle_beta 161.12
_cell_angle_gamma 26.61
_space_group_name_H-M_alt 'P 1'
_space_group_IT_number 1
loop_
_space_group_symop_operation_xyz
'x,y,z'
loop_
_atom_site_label
_atom_site_fract_x
_atom_site_fract_y
_atom_site_fract_z
Sm1 0.000 0.000 0.000
Y1 0.352 0.852 0.500
Y2 0.648 0.148 0.500
Si1 0.190 0.690 0.500
Si2 0.453 0.453 0.000
Si3 0.547 0.547 0.000
Si4 0.810 0.310 0.500
Au1 0.095 0.595 0.500
Au2 0.251 0.251 0.000
Au3 0.749 0.749 0.000
Au4 0.905 0.405 0.500
```

Largest 10 diffraction maxima, sorted by position, 10 to 90 degrees two-theta:
- 2θ 21.23, d 4.186, I 30
- 2θ 27.78, d 3.211, I 16
- 2θ 32.90, d 2.722, I 19
- 2θ 33.33, d 2.688, I 100
- 2θ 41.82, d 2.160, I 12
- 2θ 42.66, d 2.120, I 19
- 2θ 43.38, d 2.086, I 19
- 2θ 45.05, d 2.012, I 14
- 2θ 62.47, d 1.487, I 13
- 2θ 67.39, d 1.390, I 14